(1)
For Li3Mn4B4O12, DFT lattice parameters and positions (GGA+U) gives the computed XRD peak list in this record (copper Kα).
No peak broadening, texture or thermal motion is included.

Top 6 peaks for 2θ = 5–70°, low angle first:
2θ 20.2, I = 58, hkl 1 -1 0
2θ 22.0, I = 31, hkl 1 0 2
2θ 22.6, I = 47, hkl 1 0 -2
2θ 34.0, I = 100, hkl 2 2 0
2θ 39.9, I = 17, hkl 1 -1 4
2θ 40.7, I = 23, hkl 0 2 4

Structure:
Unit cell a=6.193 b=7.856 c=10.554 alpha=87.45 beta=87.92 gamma=79.36
Space group P-1 (No. 2)
Asymmetric unit:
Li (0.124, 0.191, 0.462) (multiplicity 2)
Li (0.141, 0.201, 0.958) (multiplicity 2)
Li (0.370, 0.311, 0.283) (multiplicity 2)
Mn (0.062, 0.689, 0.291) (multiplicity 2)
Mn (0.092, 0.663, 0.792) (multiplicity 2)
Mn (0.418, 0.818, 0.969) (multiplicity 2)
Mn (0.427, 0.822, 0.451) (multiplicity 2)
B (0.221, 0.498, 0.532) (multiplicity 2)
B (0.232, 0.511, 0.044) (multiplicity 2)
B (0.243, 0.002, 0.210) (multiplicity 2)
B (0.263, 0.987, 0.712) (multiplicity 2)
O (0.150, 0.469, 0.658) (multiplicity 2)
O (0.151, 0.116, 0.786) (multiplicity 2)
O (0.152, 0.673, 0.986) (multiplicity 2)
O (0.158, 0.139, 0.285) (multiplicity 2)
O (0.163, 0.667, 0.480) (multiplicity 2)
O (0.191, 0.490, 0.175) (multiplicity 2)
O (0.291, 0.833, 0.268) (multiplicity 2)
O (0.298, 0.026, 0.083) (multiplicity 2)
O (0.302, 0.020, 0.583) (multiplicity 2)
O (0.330, 0.376, 0.973) (multiplicity 2)
O (0.333, 0.365, 0.463) (multiplicity 2)
O (0.343, 0.824, 0.768) (multiplicity 2)


(2)
For MgMn6O7F5, DFT lattice parameters and positions (GGA+U) gives the computed XRD peak list in this record (copper Kα).
No peak broadening, texture or thermal motion is included.

Top 6 peaks for 2θ = 5–70°, low angle first:
2θ 24.0, I = 100, hkl 1 -1 0
2θ 27.0, I = 80, hkl 1 1 0
2θ 34.3, I = 53, hkl 0 1 3
2θ 34.6, I = 42, hkl 1 0 -3
2θ 49.0, I = 70, hkl 1 -2 3
2θ 52.4, I = 36, hkl 1 2 3

Structure:
Unit cell a=4.906 b=5.030 c=9.193 alpha=90.05 beta=90.09 gamma=96.74
Space group P1 (No. 1)
Asymmetric unit:
Mg (0.000, 0.000, 0.000) (multiplicity 1)
Mn (0.034, 0.475, 0.677) (multiplicity 1)
Mn (0.470, 0.969, 0.503) (multiplicity 1)
Mn (0.496, 0.003, 0.186) (multiplicity 1)
Mn (0.501, 0.991, 0.816) (multiplicity 1)
Mn (0.970, 0.528, 0.331) (multiplicity 1)
Mn (0.997, 0.498, 0.002) (multiplicity 1)
O (0.143, 0.751, 0.150) (multiplicity 1)
O (0.156, 0.735, 0.849) (multiplicity 1)
O (0.166, 0.685, 0.510) (multiplicity 1)
O (0.342, 0.168, 0.669) (multiplicity 1)
O (0.634, 0.807, 0.334) (multiplicity 1)
O (0.843, 0.256, 0.152) (multiplicity 1)
O (0.856, 0.251, 0.847) (multiplicity 1)
F (0.311, 0.225, 0.339) (multiplicity 1)
F (0.353, 0.216, 0.013) (multiplicity 1)
F (0.649, 0.782, 0.986) (multiplicity 1)
F (0.677, 0.748, 0.671) (multiplicity 1)
F (0.807, 0.263, 0.506) (multiplicity 1)